(1)
For Ba3PtPb2, a GGA-PBE-relaxed structure gives the computed XRD peak list in this record (Cu Kα, 1.54184 Å).

Crystal structure
```
12
Lattice="4.945 -5.341 0.000 4.945 5.341 0.000 -1.810 0.000 8.891" Properties=species:S:1:pos:R:3 pbc="T T T"
Ba 3.588 4.504 6.669
Ba 3.856 1.417 0.468
Ba 5.130 1.417 3.978
Ba 2.951 -1.417 4.914
Ba 4.225 -1.417 8.423
Ba 4.493 -4.504 2.223
Pt 3.588 1.165 6.669
Pt 4.493 -1.165 2.223
Pb 1.016 1.739 5.650
Pb 1.920 -1.739 1.204
Pb 6.160 1.739 7.687
Pb 7.065 -1.739 3.241
```

Top 10 peaks for 2θ from 5° to 70°, in order of rising 2θ:
Position (°2θ)  I/Imax
12.3  25.1
14.7  35.8
19.4  34.5
25.1  35.3
25.4  74.9
30.9  79.8
32.4  100.0
33.6  34.3
34.7  33.2
38.6  37.0


(2)
For LaPrTh2Rh4, a GGA-PBE-relaxed structure gives the computed XRD peak list in this record (Cu Kα, 1.54184 Å).

Crystal structure
```
8
Lattice="0.000 5.805 4.117 4.117 0.000 4.117 4.117 5.805 0.000" Properties=species:S:1:pos:R:3 pbc="T T T"
La 0.000 0.000 0.000
Pr 4.117 5.805 4.128
Th 2.058 2.902 2.053
Th 6.175 8.707 6.170
Rh 6.169 5.805 2.064
Rh 4.117 2.896 4.110
Rh 2.064 5.805 2.064
Rh 4.117 8.713 4.110
```

Top 10 peaks for 2θ from 5° to 70°, in order of rising 2θ:
Position (°2θ)  I/Imax
15.3  3.4
21.6  3.2
26.5  12.8
30.7  100.0
44.0  74.8
52.1  4.5
52.2  2.2
54.7  26.4
64.0  8.2
64.2  4.1


(3)
For Hg3IrI9, a GGA-PBE-relaxed structure gives the computed XRD peak list in this record (Cu Kα, 1.54184 Å).

Crystal structure
```
26
Lattice="9.607 -5.296 0.000 9.607 5.296 0.000 -8.913 0.000 10.969" Properties=species:S:1:pos:R:3 pbc="T T T"
Hg 5.150 4.859 5.485
Hg 2.165 1.136 6.270
Hg 6.622 -1.136 0.785
Hg 8.697 0.647 5.111
Hg 4.241 -0.647 10.595
Hg 9.607 -4.859 0.000
Ir -1.732 2.328 8.372
Ir 2.725 -2.328 2.887
I -2.930 3.105 10.699
I -4.051 0.956 7.935
I 0.570 3.649 8.846
I -0.677 1.148 6.206
I 0.406 -0.956 2.450
I 6.698 2.743 4.316
I 3.780 -1.148 0.722
I -0.715 0.287 9.797
I 3.741 -0.287 4.312
I 4.010 1.314 8.428
I 11.455 0.850 1.473
I 1.527 -3.105 5.215
I 8.467 -1.314 2.943
I 7.690 1.536 10.525
I 6.998 -0.850 6.958
I 5.026 -3.649 3.361
I 2.241 -2.743 9.801
I 12.147 -1.536 5.041
```

Top 10 peaks for 2θ from 5° to 70°, in order of rising 2θ:
Position (°2θ)  I/Imax
10.5  33.9
15.2  100.0
16.9  43.8
19.7  28.8
24.8  33.5
25.5  84.1
32.7  27.6
34.3  24.9
38.5  47.3
38.6  27.1


(4)
For Rb3PdI4, a GGA-PBE-relaxed structure gives the computed XRD peak list in this record (Cu Kα, 1.54184 Å).

Crystal structure
```
16
Lattice="14.654 0.000 0.000 0.000 10.835 0.000 0.000 0.000 5.480" Properties=species:S:1:pos:R:3 pbc="T T T"
Rb 0.000 1.156 0.000
Rb 2.351 6.972 2.919
Rb 4.976 3.864 0.179
Rb 7.327 9.679 2.740
Rb 9.678 3.864 0.179
Rb 12.303 6.972 2.919
Pd 0.000 4.052 2.909
Pd 7.327 6.783 0.169
I 0.000 4.741 0.172
I 0.000 9.636 2.738
I 2.602 3.301 2.916
I 4.725 7.534 0.176
I 7.327 1.199 5.478
I 7.327 6.094 2.912
I 9.928 7.534 0.176
I 12.052 3.301 2.916
```

Top 10 peaks for 2θ from 5° to 70°, in order of rising 2θ:
Position (°2θ)  I/Imax
8.2  100.0
10.2  44.2
12.1  42.6
17.3  40.6
20.4  38.6
24.4  55.6
25.8  40.5
29.6  39.4
32.7  60.7
36.8  43.9


(5)
For PmGaMo, a GGA-PBE-relaxed structure gives the computed XRD peak list in this record (Cu Kα, 1.54184 Å).

Crystal structure
```
12
Lattice="5.550 0.000 0.000 0.000 3.204 0.000 -1.796 0.000 14.575" Properties=species:S:1:pos:R:3 pbc="T T T"
Pm 0.938 0.000 1.786
Pm 0.041 1.602 12.789
Pm 3.713 1.602 1.786
Pm 2.816 0.000 12.789
Ga 0.011 1.602 4.294
Ga 0.968 0.000 10.281
Ga 2.786 0.000 4.294
Ga 3.743 1.602 10.281
Mo 0.036 1.602 8.182
Mo 0.943 0.000 6.393
Mo 2.811 0.000 8.182
Mo 3.718 1.602 6.393
```

Top 10 peaks for 2θ from 5° to 70°, in order of rising 2θ:
Position (°2θ)  I/Imax
18.3  20.9
24.4  18.5
30.7  18.7
32.5  62.7
33.9  30.4
36.3  40.8
38.4  100.0
39.6  28.2
43.5  19.6
57.5  41.5


(6)
For Nd3Ga10Ni, a GGA-PBE-relaxed structure gives the computed XRD peak list in this record (Cu Kα, 1.54184 Å).

Crystal structure
```
14
Lattice="4.262 0.000 0.000 0.000 4.287 0.000 0.000 0.000 15.367" Properties=species:S:1:pos:R:3 pbc="T T T"
Nd 0.000 0.000 0.000
Nd 0.000 2.143 3.849
Nd 0.000 2.143 11.518
Ga 0.000 0.000 6.383
Ga 0.000 0.000 8.984
Ga 2.131 0.000 2.422
Ga 2.131 0.000 4.852
Ga 2.131 0.000 10.516
Ga 2.131 0.000 12.945
Ga 2.131 2.143 1.234
Ga 2.131 2.143 6.378
Ga 2.131 2.143 8.989
Ga 2.131 2.143 14.133
Ni 0.000 2.143 7.684
```

Top 10 peaks for 2θ from 5° to 70°, in order of rising 2θ:
Position (°2θ)  I/Imax
31.3  48.8
31.8  100.0
41.1  30.6
41.9  16.9
42.2  31.4
42.4  30.8
46.5  14.1
53.5  18.6
60.5  18.2
61.3  20.1


(7)
For NdCd2Ag10, a GGA-PBE-relaxed structure gives the computed XRD peak list in this record (Cu Kα, 1.54184 Å).

Crystal structure
```
13
Lattice="0.000 6.740 6.967 2.782 0.000 6.967 2.782 6.740 0.000" Properties=species:S:1:pos:R:3 pbc="T T T"
Nd 0.000 0.000 0.000
Cd 1.391 0.000 3.484
Cd 1.391 6.740 3.484
Ag 1.391 3.370 0.000
Ag 2.782 2.410 4.557
Ag 2.782 5.292 5.490
Ag 2.782 2.410 9.378
Ag 2.782 5.292 8.445
Ag 1.391 3.370 6.967
Ag 2.782 8.189 5.490
Ag 2.782 11.070 4.557
Ag 2.782 8.189 8.445
Ag 2.782 11.070 9.378
```

Top 10 peaks for 2θ from 5° to 70°, in order of rising 2θ:
Position (°2θ)  I/Imax
32.0  61.3
32.2  21.3
36.7  65.4
37.1  82.0
37.3  100.0
37.6  67.9
41.1  25.8
41.5  45.2
42.1  38.0
67.0  37.4


(8)
For SrV2Se2, a GGA-PBE-relaxed structure gives the computed XRD peak list in this record (Cu Kα, 1.54184 Å).

Crystal structure
```
10
Lattice="3.776 0.000 0.000 0.000 3.776 0.000 0.000 0.000 13.812" Properties=species:S:1:pos:R:3 pbc="T T T"
Sr 0.000 0.000 0.000
Sr 1.888 1.888 6.906
V 0.000 1.888 3.453
V 0.000 1.888 10.359
V 1.888 0.000 3.453
V 1.888 0.000 10.359
Se 0.000 0.000 5.137
Se 0.000 0.000 8.675
Se 1.888 1.888 1.769
Se 1.888 1.888 12.043
```

Top 10 peaks for 2θ from 5° to 70°, in order of rising 2θ:
Position (°2θ)  I/Imax
30.6  100.0
33.6  19.6
36.1  49.7
40.5  38.7
42.8  26.1
48.2  38.3
52.5  20.6
53.0  14.1
58.2  31.3
64.7  19.0


(9)
For V3Pd6Pt2, a GGA-PBE-relaxed structure gives the computed XRD peak list in this record (Cu Kα, 1.54184 Å).

Crystal structure
```
11
Lattice="4.776 0.000 0.000 -1.587 5.920 0.000 -0.773 -2.207 5.760" Properties=species:S:1:pos:R:3 pbc="T T T"
V 0.000 0.000 0.000
V 0.807 2.115 1.438
V 1.609 1.598 4.322
Pd -0.813 0.331 4.718
Pd -0.765 2.855 3.688
Pd 0.807 -0.348 2.607
Pd 1.609 4.060 3.152
Pd 3.181 0.857 2.072
Pd 3.229 3.381 1.042
Pt 0.856 4.634 0.506
Pt 1.560 -0.922 5.254
```

Top 10 peaks for 2θ from 5° to 70°, in order of rising 2θ:
Position (°2θ)  I/Imax
22.2  12.0
39.8  50.5
40.1  100.0
40.2  48.9
46.3  32.4
46.5  32.4
47.0  32.3
67.4  10.4
68.0  29.4
68.7  10.3


(10)
For PmCd2Ge2, a GGA-PBE-relaxed structure gives the computed XRD peak list in this record (Cu Kα, 1.54184 Å).

Crystal structure
```
10
Lattice="2.134 -12.210 0.000 2.134 12.210 0.000 0.000 0.000 4.246" Properties=species:S:1:pos:R:3 pbc="T T T"
Pm 2.134 8.405 3.185
Pm 2.134 -8.405 1.062
Cd 2.134 11.064 1.062
Cd 2.134 1.190 1.062
Cd 2.134 -1.190 3.185
Cd 2.134 -11.064 3.185
Ge 2.134 6.103 1.062
Ge 2.134 3.263 3.185
Ge 2.134 -3.263 1.062
Ge 2.134 -6.103 3.185
```

Top 10 peaks for 2θ from 5° to 70°, in order of rising 2θ:
Position (°2θ)  I/Imax
7.2  8.7
23.5  3.3
35.0  100.0
36.8  18.9
42.3  15.4
42.6  15.1
57.3  10.1
57.5  10.0
61.6  9.8
65.1  10.8


(11)
For Mg2Zr2Cd3, a GGA-PBE-relaxed structure gives the computed XRD peak list in this record (Cu Kα, 1.54184 Å).

Crystal structure
```
7
Lattice="2.465 1.423 7.420 -2.465 1.423 7.420 0.000 -2.846 7.420" Properties=species:S:1:pos:R:3 pbc="T T T"
Mg 0.000 0.000 1.614
Mg 0.000 0.000 20.647
Zr 0.000 0.000 8.004
Zr 0.000 0.000 14.257
Cd 0.000 0.000 5.010
Cd 0.000 0.000 11.130
Cd 0.000 0.000 17.251
```

Top 10 peaks for 2θ from 5° to 70°, in order of rising 2θ:
Position (°2θ)  I/Imax
21.2  27.1
22.3  12.1
26.3  9.1
35.2  100.0
36.4  99.4
38.6  18.7
51.6  32.4
62.3  13.5
64.8  31.6
65.6  16.7


(12)
For PuNpMnRh, a GGA-PBE-relaxed structure gives the computed XRD peak list in this record (Cu Kα, 1.54184 Å).

Crystal structure
```
16
Lattice="6.466 0.000 0.000 0.000 6.466 0.000 0.000 0.000 6.466" Properties=species:S:1:pos:R:3 pbc="T T T"
Pu 0.000 0.000 0.000
Pu 0.000 3.233 3.233
Pu 3.233 0.000 3.233
Pu 3.233 3.233 0.000
Np 1.616 1.616 1.616
Np 1.616 4.849 4.849
Np 4.849 1.616 4.849
Np 4.849 4.849 1.616
Mn 0.000 0.000 3.233
Mn 0.000 3.233 0.000
Mn 3.233 0.000 0.000
Mn 3.233 3.233 3.233
Rh 1.616 1.616 4.849
Rh 1.616 4.849 1.616
Rh 4.849 1.616 1.616
Rh 4.849 4.849 4.849
```

Top 6 peaks for 2θ from 5° to 70°, in order of rising 2θ:
Position (°2θ)  I/Imax
23.8  28.1
27.6  0.7
39.4  100.0
46.6  15.6
57.0  17.2
62.6  6.8


(13)
For Rb3Bi2O4, a GGA-PBE-relaxed structure gives the computed XRD peak list in this record (Cu Kα, 1.54184 Å).

Crystal structure
```
18
Lattice="6.231 -6.717 0.000 6.231 6.717 0.000 -1.442 0.000 6.049" Properties=species:S:1:pos:R:3 pbc="T T T"
Rb 5.150 5.303 4.537
Rb 4.276 1.431 2.694
Rb 7.466 1.431 0.330
Rb 3.556 -1.431 5.719
Rb 6.745 -1.431 3.354
Rb 5.871 -5.303 1.512
Bi 1.391 1.493 5.191
Bi 2.112 -1.493 2.167
Bi 8.910 1.493 3.882
Bi 9.630 -1.493 0.858
O 1.284 0.042 3.541
O 2.005 -0.042 0.517
O 3.386 1.368 5.635
O 4.107 -1.368 2.610
O 6.915 1.368 3.438
O 7.636 -1.368 0.414
O 9.017 0.042 5.532
O 9.738 -0.042 2.507
```

Top 10 peaks for 2θ from 5° to 70°, in order of rising 2θ:
Position (°2θ)  I/Imax
13.2  22.0
14.6  31.9
24.4  52.4
26.5  49.6
26.6  100.0
29.5  54.5
30.9  56.0
37.7  30.8
44.6  33.3
48.0  20.3